1.
Simulated powder diffractogram of Mg3H2S2O10 for Cu Kα X-rays, from a PBE-relaxed structure.

Crystal structure
```
data_Mg3H2S2O10
_cell_length_a 13.922
_cell_length_b 5.538
_cell_length_c 5.210
_cell_angle_alpha 90.00
_cell_angle_beta 111.83
_cell_angle_gamma 90.00
_space_group_name_H-M_alt 'C 1 2/m 1'
_space_group_IT_number 12
loop_
_space_group_symop_operation_xyz
'x,y,z'
'-x,-y,-z'
'-x,y,-z'
'x,-y,z'
'x+1/2,y+1/2,z'
'-x+1/2,-y+1/2,-z'
'-x+1/2,y+1/2,-z'
'x+1/2,-y+1/2,z'
loop_
_atom_site_label
_atom_site_type_symbol
_atom_site_fract_x
_atom_site_fract_y
_atom_site_fract_z
Mg1 Mg 0.000 0.000 0.000
Mg2 Mg 0.250 0.250 0.500
H1 H 0.100 0.000 0.508
S1 S 0.123 0.500 0.878
O1 O 0.062 0.277 0.822
O2 O 0.131 0.000 0.369
O3 O 0.187 0.500 0.701
O4 O 0.196 0.500 0.176
```

Principal peaks in the range 2θ from 15° to 90°, sorted by position:
2θ = 17.4°, 5.090 Å, I = 12, (1 1 0)
2θ = 26.2°, 3.400 Å, I = 39, (3 1 0)
2θ = 26.8°, 3.322 Å, I = 72, (2 0 1)
2θ = 27.3°, 3.271 Å, I = 100, (3 1 -1)
2θ = 34.4°, 2.605 Å, I = 14, (2 0 -2)
2θ = 42.5°, 2.126 Å, I = 15, (4 2 -1)
2θ = 43.0°, 2.102 Å, I = 13, (4 2 0)
2θ = 48.6°, 1.874 Å, I = 10, (5 1 1)
2θ = 53.9°, 1.700 Å, I = 10, (6 2 0)
2θ = 56.2°, 1.636 Å, I = 25, (6 2 -2)

2.
Simulated powder diffractogram of TbPm5 for Cu Kα X-rays, from a PBE-relaxed structure.

Crystal structure
```
data_TbPm5
_cell_length_a 5.145
_cell_length_b 10.890
_cell_length_c 7.272
_cell_angle_alpha 90.00
_cell_angle_beta 90.00
_cell_angle_gamma 90.00
_space_group_name_H-M_alt 'P m m n'
_space_group_IT_number 59
loop_
_space_group_symop_operation_xyz
'x,y,z'
'-x,-y,-z'
'-x+1/2,-y+1/2,z'
'x+1/2,y+1/2,-z'
'x+1/2,-y,-z'
'-x+1/2,y,z'
'-x,y+1/2,-z'
'x,-y+1/2,z'
loop_
_atom_site_label
_atom_site_type_symbol
_atom_site_fract_x
_atom_site_fract_y
_atom_site_fract_z
Tb1 Tb 0.250 0.250 0.124
Pm1 Pm 0.250 0.250 0.626
Pm2 Pm 0.250 0.583 0.124
Pm3 Pm 0.250 0.584 0.626
```

Principal peaks in the range 2θ from 15° to 90°, sorted by position:
2θ = 30.1°, 2.968 Å, I = 100, (1 3 0)
2θ = 34.9°, 2.570 Å, I = 51, (2 0 0)
2θ = 50.2°, 1.817 Å, I = 36, (2 3 2)
2θ = 59.6°, 1.550 Å, I = 29, (3 3 0)
2θ = 59.7°, 1.549 Å, I = 14, (1 6 2)
2θ = 62.6°, 1.484 Å, I = 12, (2 6 0)
2θ = 73.8°, 1.284 Å, I = 4, (0 6 4)
2θ = 81.6°, 1.180 Å, I = 15, (3 6 2)
2θ = 81.8°, 1.178 Å, I = 3, (1 9 0)
2θ = 84.2°, 1.150 Å, I = 14, (4 3 2)

Question: What is the formula in the second record?
Answer: TbPm5

Question: Number 1 is which compound?
Answer: Mg3H2S2O10